Calculated powder XRD pattern of Li4TmU3Se8 for copper Kα, from the GGA-PBE geometry in Alexandria.
No peak broadening, texture or thermal motion is included.

Structural model:
Unit cell a=8.061 b=8.061 c=8.061 alpha=59.89 beta=59.89 gamma=59.89
Atoms (fractional coordinates):
Li: 0.000 0.000 0.000
Li: 0.000 0.500 0.500
Li: 0.500 0.000 0.500
Li: 0.500 0.500 0.000
Tm: 0.500 0.500 0.500
U: 0.000 0.000 0.500
U: 0.000 0.500 0.000
U: 0.500 0.000 0.000
Se: 0.250 0.250 0.743
Se: 0.250 0.743 0.250
Se: 0.254 0.254 0.254
Se: 0.257 0.750 0.750
Se: 0.743 0.250 0.250
Se: 0.746 0.746 0.746
Se: 0.750 0.257 0.750
Se: 0.750 0.750 0.257

Main lines, by angle (2θ = 15–90°):
2theta, Rel. int.
25.96, 506
31.41, 1000
34.31, 280
41.14, 185
45.02, 741
47.23, 186
55.96, 196
74.45, 169
74.56, 171
83.12, 196